No. 1
Cs2KCd2Cl7: simulated X-ray powder pattern (Cu Ka), based on a crystal structure in Alexandria, relaxed with GGA-PBE.
No peak broadening, texture or thermal motion is included.

Structure:
Cell lengths 5.319, 5.319, 27.399 Å; angles 90.00, 90.00, 90.00 degrees
Space group I4/mmm (No. 139)
Unique sites:
Cs  0.000  0.000  0.180 [4 per cell]
K  0.000  0.000  0.000 [2 per cell]
Cd  0.000  0.000  0.404 [4 per cell]
Cl  0.000  0.000  0.309 [4 per cell]
Cl  0.000  0.000  0.500 [2 per cell]
Cl  0.000  0.500  0.091 [8 per cell]

Most intense lines, 15° ≤ 2θ ≤ 90°, most intense first:
| 2theta | I/Imax |
| --- | --- |
| 23.31 | 100 |
| 33.70 | 87 |
| 23.66 | 86 |
| 41.38 | 45 |
| 47.65 | 31 |
| 33.93 | 30 |
| 30.80 | 30 |
| 48.41 | 29 |
| 32.68 | 24 |
| 48.57 | 21 |

No. 2
LiThAlPt3: simulated X-ray powder pattern (Cu Ka), based on a crystal structure in Alexandria, relaxed with GGA-PBE.
No peak broadening, texture or thermal motion is included.

Structure:
Cell lengths 5.679, 12.914, 5.943 Å; angles 90.00, 90.00, 90.00 degrees
Space group Cmcm (No. 63)
Unique sites:
Li  0.000  0.112  0.250 [4 per cell]
Th  0.000  0.328  0.250 [4 per cell]
Al  0.000  0.387  0.750 [4 per cell]
Pt  0.000  0.194  0.750 [4 per cell]
Pt  0.241  0.000  0.000 [8 per cell]

Most intense lines, 15° ≤ 2θ ≤ 90°, most intense first:
| 2theta | I/Imax |
| --- | --- |
| 33.19 | 100 |
| 34.51 | 90 |
| 44.11 | 75 |
| 20.31 | 61 |
| 62.52 | 51 |
| 31.54 | 45 |
| 45.18 | 34 |
| 41.29 | 33 |
| 41.98 | 30 |
| 65.82 | 28 |

No. 3
CaPtSe2: simulated X-ray powder pattern (Cu Ka), based on a crystal structure in Alexandria, relaxed with GGA-PBE.
No peak broadening, texture or thermal motion is included.

Structure:
Cell lengths 6.930, 6.930, 6.930 Å; angles 90.00, 90.00, 90.00 degrees
Space group F-43m (No. 216)
Unique sites:
Ca  0.000  0.000  0.000 [4 per cell]
Pt  0.250  0.250  0.250 [4 per cell]
Se  0.000  0.000  0.500 [4 per cell]
Se  0.250  0.250  0.750 [4 per cell]

Most intense lines, 15° ≤ 2θ ≤ 90°, most intense first:
| 2theta | I/Imax |
| --- | --- |
| 36.68 | 100 |
| 66.05 | 35 |
| 22.22 | 21 |
| 25.71 | 18 |
| 52.84 | 17 |
| 89.43 | 16 |
| 43.30 | 12 |
| 78.00 | 11 |
| 59.67 | 8 |
| 45.33 | 5 |

No. 4
Li2LaCd2: simulated X-ray powder pattern (Cu Ka), based on a crystal structure in Alexandria, relaxed with GGA-PBE.
No peak broadening, texture or thermal motion is included.

Structure:
Cell lengths 4.190, 4.190, 14.100 Å; angles 90.00, 90.00, 90.00 degrees
Space group I4/mmm (No. 139)
Unique sites:
Li  0.000  0.500  0.250 [4 per cell]
La  0.000  0.000  0.000 [2 per cell]
Cd  0.000  0.000  0.388 [4 per cell]

Most intense lines, 15° ≤ 2θ ≤ 90°, most intense first:
| 2theta | I/Imax |
| --- | --- |
| 28.54 | 100 |
| 30.16 | 84 |
| 38.48 | 84 |
| 59.20 | 46 |
| 32.79 | 36 |
| 52.58 | 36 |
| 43.18 | 35 |
| 61.19 | 16 |
| 71.16 | 14 |
| 69.72 | 12 |